# NdY2Zn2Ga2
Theoretical PXRD pattern, a wavelength of 1.5418 Å. Input: a DFT-relaxed cell (GGA-PBE, Alexandria).
Intensities are scaled so that the largest is 100.

Largest 8 diffraction maxima, in order of falling intensity, 2θ = 15–90°:
| hkl | two_theta | d/Å | Rel. int. |
| --- | --- | --- | --- |
| 1 1 0 | 40.40 | 2.233 | 100.0 |
| 0 1 8 | 34.43 | 2.605 | 98.4 |
| 1 0 7 | 32.08 | 2.790 | 79.2 |
| 1 1 15 | 64.83 | 1.438 | 38.2 |
| 2 0 8 | 54.10 | 1.695 | 26.4 |
| 1 0 1 | 23.22 | 3.831 | 24.4 |
| 1 2 8 | 69.64 | 1.350 | 24.1 |
| 0 2 7 | 52.50 | 1.743 | 19.2 |

Crystal structure
a b c (Å): 4.4652 4.4652 28.2005
angles (deg): 90.00 90.00 120.00
Space group R-3m (No. 166, hexagonal axes)
One atom of each set of equivalent atoms:
Nd  0.0000  0.0000  0.0000 [3 per cell]
Y  0.0000  0.0000  0.1275 [6 per cell]
Zn  0.0000  0.0000  0.4017 [6 per cell]
Ga  0.0000  0.0000  0.2592 [6 per cell]

***

# Nd2Y2ZnGa4
Theoretical PXRD pattern, a wavelength of 1.5418 Å. Input: a DFT-relaxed cell (GGA-PBE, Alexandria).
Intensities are scaled so that the largest is 100.

Largest 8 diffraction maxima, in order of falling intensity, 2θ = 15–90°:
| hkl | two_theta | d/Å | Rel. int. |
| --- | --- | --- | --- |
| 2 0 2 | 32.44 | 2.760 | 100.0 |
| 2 2 0 | 35.93 | 2.500 | 71.1 |
| 1 0 3 | 32.95 | 2.719 | 32.7 |
| 4 2 2 | 62.38 | 1.489 | 28.8 |
| 2 1 3 | 41.92 | 2.155 | 27.5 |
| 4 0 0 | 51.72 | 1.768 | 24.4 |
| 1 1 0 | 17.74 | 5.000 | 18.6 |
| 2 2 4 | 55.52 | 1.655 | 16.9 |

Crystal structure
a b c (Å): 7.0704 7.0704 8.8347
angles (deg): 90.00 90.00 90.00
Space group I4/mmm (No. 139)
One atom of each set of equivalent atoms:
Nd  0.0000  0.0000  0.1879 [4 per cell]
Y  0.0000  0.5000  0.2500 [4 per cell]
Zn  0.0000  0.0000  0.5000 [2 per cell]
Ga  0.2408  0.2408  0.5000 [8 per cell]

***

# Nd2Zn9Ga3
Theoretical PXRD pattern, a wavelength of 1.5418 Å. Input: a DFT-relaxed cell (GGA-PBE, Alexandria).
Intensities are scaled so that the largest is 100.

Largest 8 diffraction maxima, in order of falling intensity, 2θ = 15–90°:
| hkl | two_theta | d/Å | Rel. int. |
| --- | --- | --- | --- |
| 3 1 3 | 37.07 | 2.425 | 100.0 |
| 3 3 0 | 39.44 | 2.285 | 51.8 |
| 6 0 0 | 39.69 | 2.271 | 22.3 |
| 5 1 2 | 40.07 | 2.250 | 18.1 |
| 1 3 2 | 39.86 | 2.261 | 16.7 |
| 4 2 1 | 36.11 | 2.487 | 12.7 |
| 3 1 2 | 29.82 | 2.996 | 11.0 |
| 4 0 2 | 32.69 | 2.740 | 10.8 |

Crystal structure
a b c (Å): 13.6271 7.9307 9.2195
angles (deg): 90.00 90.00 90.00
Space group Cmcm (No. 63)
One atom of each set of equivalent atoms:
Nd  0.1625  0.1588  0.2500 [8 per cell]
Zn  0.0000  0.1486  0.7500 [4 per cell]
Zn  0.0000  0.3389  0.0600 [8 per cell]
Zn  0.0948  0.4518  0.7500 [8 per cell]
Zn  0.1568  0.1867  0.5922 [16 per cell]
Ga  0.0000  0.0000  0.0000 [4 per cell]
Ga  0.1888  0.5000  0.0000 [8 per cell]

***

# Nd2ZnGa12
Theoretical PXRD pattern, a wavelength of 1.5418 Å. Input: a DFT-relaxed cell (GGA-PBE, Alexandria).
Intensities are scaled so that the largest is 100.

Largest 8 diffraction maxima, in order of falling intensity, 2θ = 15–90°:
| hkl | two_theta | d/Å | Rel. int. |
| --- | --- | --- | --- |
| 2 0 2 | 30.82 | 2.901 | 100.0 |
| 2 2 0 | 40.63 | 2.221 | 70.8 |
| 1 1 4 | 31.01 | 2.884 | 62.6 |
| 1 1 6 | 41.08 | 2.197 | 44.0 |
| 3 1 4 | 51.97 | 1.759 | 34.4 |
| 2 0 4 | 37.17 | 2.419 | 33.7 |
| 2 0 6 | 46.09 | 1.969 | 29.7 |
| 3 1 8 | 68.40 | 1.371 | 21.4 |

Crystal structure
a b c (Å): 6.2808 6.2808 15.1684
angles (deg): 90.00 90.00 90.00
Space group P4/nbm (No. 125, origin choice 2)
One atom of each set of equivalent atoms:
Nd  0.2500  0.7500  0.2467 [4 per cell]
Zn  0.2500  0.7500  0.0000 [2 per cell]
Ga  0.0007  0.5007  0.0892 [8 per cell]
Ga  0.0798  0.5798  0.5706 [8 per cell]
Ga  0.2500  0.2500  0.1805 [4 per cell]
Ga  0.2500  0.2500  0.3437 [4 per cell]

***

# Nd3Zn9Ga2
Theoretical PXRD pattern, a wavelength of 1.5418 Å. Input: a DFT-relaxed cell (GGA-PBE, Alexandria).
Intensities are scaled so that the largest is 100.

Largest 8 diffraction maxima, in order of falling intensity, 2θ = 15–90°:
| hkl | two_theta | d/Å | Rel. int. |
| --- | --- | --- | --- |
| 1 2 3 | 34.72 | 2.584 | 100.0 |
| 2 0 0 | 40.46 | 2.229 | 39.5 |
| 1 3 0 | 35.28 | 2.544 | 29.8 |
| 0 3 3 | 35.61 | 2.521 | 22.0 |
| 0 0 6 | 41.65 | 2.168 | 21.1 |
| 1 3 2 | 37.97 | 2.369 | 20.1 |
| 1 1 4 | 35.50 | 2.529 | 18.9 |
| 0 2 4 | 33.63 | 2.665 | 16.5 |

Crystal structure
a b c (Å): 4.4589 9.2942 13.0107
angles (deg): 90.00 90.00 90.00
Space group Immm (No. 71)
One atom of each set of equivalent atoms:
Nd  0.0000  0.0000  0.0000 [2 per cell]
Nd  0.0000  0.0000  0.3027 [4 per cell]
Zn  0.0000  0.2766  0.1428 [8 per cell]
Zn  0.0000  0.3649  0.3407 [8 per cell]
Zn  0.0000  0.5000  0.0000 [2 per cell]
Ga  0.0000  0.2023  0.5000 [4 per cell]

***

# Nd3Zn2Ga9
Theoretical PXRD pattern, a wavelength of 1.5418 Å. Input: a DFT-relaxed cell (GGA-PBE, Alexandria).
Intensities are scaled so that the largest is 100.

Largest 8 diffraction maxima, in order of falling intensity, 2θ = 15–90°:
| hkl | two_theta | d/Å | Rel. int. |
| --- | --- | --- | --- |
| 1 2 3 | 34.56 | 2.595 | 100.0 |
| 2 0 0 | 42.08 | 2.147 | 36.0 |
| 1 3 0 | 33.80 | 2.652 | 27.5 |
| 0 0 6 | 42.46 | 2.129 | 21.3 |
| 0 3 3 | 33.91 | 2.644 | 20.0 |
| 1 0 3 | 29.55 | 3.023 | 15.3 |
| 2 0 6 | 61.33 | 1.512 | 14.0 |
| 0 5 3 | 49.87 | 1.829 | 13.5 |

Crystal structure
a b c (Å): 4.2936 10.1178 12.7728
angles (deg): 90.00 90.00 90.00
Space group Immm (No. 71)
One atom of each set of equivalent atoms:
Nd  0.0000  0.0000  0.0000 [2 per cell]
Nd  0.0000  0.0000  0.3210 [4 per cell]
Zn  0.0000  0.2187  0.5000 [4 per cell]
Ga  0.0000  0.2739  0.1402 [8 per cell]
Ga  0.0000  0.3725  0.3362 [8 per cell]
Ga  0.0000  0.5000  0.0000 [2 per cell]

***

# NdZn3Ga3
Theoretical PXRD pattern, a wavelength of 1.5418 Å. Input: a DFT-relaxed cell (GGA-PBE, Alexandria).
Intensities are scaled so that the largest is 100.

Largest 8 diffraction maxima, in order of falling intensity, 2θ = 15–90°:
| hkl | two_theta | d/Å | Rel. int. |
| --- | --- | --- | --- |
| 4 4 2 | 46.54 | 1.951 | 100.0 |
| 2 2 2 | 26.37 | 3.380 | 73.8 |
| 2 2 0 | 21.47 | 4.139 | 72.7 |
| 6 2 0 | 49.22 | 1.851 | 59.8 |
| 4 0 0 | 30.54 | 2.927 | 45.5 |
| 4 2 0 | 34.25 | 2.618 | 32.0 |
| 6 6 0 | 67.94 | 1.380 | 24.9 |
| 2 0 0 | 15.14 | 5.854 | 21.3 |

Crystal structure
a b c (Å): 11.7077 11.7077 11.7077
angles (deg): 90.00 90.00 90.00
Space group Fm-3m (No. 225)
One atom of each set of equivalent atoms:
Nd  0.2500  0.2500  0.2500 [8 per cell]
Zn  0.0000  0.0000  0.1512 [24 per cell]
Ga  0.0000  0.0000  0.3440 [24 per cell]

***

# Nd2Zn4Ga
Theoretical PXRD pattern, a wavelength of 1.5418 Å. Input: a DFT-relaxed cell (GGA-PBE, Alexandria).
Intensities are scaled so that the largest is 100.

Largest 8 diffraction maxima, in order of falling intensity, 2θ = 15–90°:
| hkl | two_theta | d/Å | Rel. int. |
| --- | --- | --- | --- |
| 2 0 -2 | 33.10 | 2.707 | 100.0 |
| 0 2 0 | 30.13 | 2.966 | 86.2 |
| 1 1 -3 | 35.86 | 2.504 | 80.2 |
| 1 1 2 | 33.42 | 2.681 | 68.4 |
| 2 1 0 | 34.59 | 2.593 | 63.5 |
| 1 0 3 | 39.85 | 2.262 | 62.2 |
| 1 2 -3 | 44.83 | 2.022 | 55.0 |
| 0 2 2 | 37.39 | 2.405 | 53.9 |

Crystal structure
a b c (Å): 5.9631 5.9321 8.5012
angles (deg): 90.00 104.75 90.00
Space group P2_1/m (No. 11)
One atom of each set of equivalent atoms:
Nd  0.1297  0.2500  0.4002 [2 per cell]
Nd  0.2554  0.7500  0.0175 [2 per cell]
Zn  0.2807  0.2500  0.0879 [2 per cell]
Zn  0.3153  0.7500  0.4087 [2 per cell]
Zn  0.4092  0.5304  0.6986 [4 per cell]
Ga  0.1201  0.2500  0.7779 [2 per cell]